(1)
Structure and simulated powder XRD pattern of Ca2PbI6 (a DFT-relaxed cell (GGA-PBE, Alexandria); Cu Kα).
Kinematic intensities with the Lorentz-polarization factor, no thermal factor.

Main lines, by angle (15° ≤ 2θ ≤ 90°):
3.525 Å, I 100, (1 1 1)
2.749 Å, I 48, (1 1 2)
2.297 Å, I 34, (3 0 0)
2.138 Å, I 28, (2 -1 3)
1.925 Å, I 18, (4 -2 1)
1.465 Å, I 15, (3 0 4)

Structure:
a b c (Å): 7.9575 7.9575 7.6048
angles (deg): 90.00 90.00 120.00
Space group P-31m (No. 162)
Inequivalent atoms, fractional coordinates:
Ca (0.3333, 0.6667, 0.0000)
Pb (0.0000, 0.0000, 0.0000)
I (0.0000, 0.3435, 0.7652)

---

(2)
Structure and simulated powder XRD pattern of Ac11Tl9Pd4 (a DFT-relaxed cell (GGA-PBE, Alexandria); Cu Kα).
Kinematic intensities with the Lorentz-polarization factor, no thermal factor.

Main lines, by angle (15° ≤ 2θ ≤ 90°):
2.987 Å, I 12, (3 3 1)
2.842 Å, I 100, (0 6 1)
2.806 Å, I 42, (4 6 0)
2.673 Å, I 13, (3 5 1)
2.035 Å, I 17, (0 0 2)
1.648 Å, I 18, (4 6 2)

Structure:
a b c (Å): 15.8374 23.8637 4.0705
angles (deg): 90.00 90.00 90.00
Space group Cmmm (No. 65)
Inequivalent atoms, fractional coordinates:
Ac (0.0000, 0.0000, 0.0000)
Ac (0.0000, 0.1642, 0.0000)
Ac (0.0000, 0.3729, 0.0000)
Ac (0.1907, 0.5000, 0.0000)
Ac (0.2472, 0.1693, 0.0000)
Tl (0.0000, 0.5000, 0.5000)
Tl (0.1044, 0.2628, 0.5000)
Tl (0.1456, 0.0712, 0.5000)
Pd (0.1513, 0.4005, 0.5000)